Record 1
For Mg6NiSb, a crystal structure in the Materials Project, relaxed with GGA-PBE gives the computed X-ray diffraction stick pattern in this record (copper Kα).
Peak positions follow from Bragg's law for the DFT cell and can differ from measured ones.

Crystal structure
Cell: 4.849 6.216 6.216 Å, 61.98 90.00 90.00°
Sites, in units of the cell vectors:
Mg (0.000, 0.000, 0.000)
Mg (0.000, 0.009, 0.467)
Mg (0.000, 0.467, 0.009)
Mg (0.000, 0.488, 0.488)
Mg (0.500, 0.158, 0.663)
Mg (0.500, 0.663, 0.158)
Ni (0.500, 0.159, 0.159)
Sb (0.500, 0.659, 0.659)

Most intense lines, 2θ = 5–70°, in order of falling intensity:
2theta	Rel. int.
37.67	100.0
38.55	45.4
16.64	39.7
32.64	33.8
37.08	33.1
18.30	30.4
33.60	30.0
24.83	28.1
50.22	19.4
67.23	17.0



Record 2
For Mg6NiSb, a crystal structure in the Materials Project, relaxed with GGA-PBE gives the computed X-ray diffraction stick pattern in this record (copper Kα).
Peak positions follow from Bragg's law for the DFT cell and can differ from measured ones.

Crystal structure
Cell: 5.033 6.152 6.152 Å, 60.12 90.00 90.00°
Sites, in units of the cell vectors:
Mg (0.000, 0.000, 0.000)
Mg (0.000, 0.502, 0.989)
Mg (0.000, 0.989, 0.502)
Mg (0.500, 0.159, 0.669)
Mg (0.500, 0.165, 0.165)
Mg (0.500, 0.669, 0.159)
Ni (0.500, 0.667, 0.667)
Sb (0.000, 0.503, 0.503)

Most intense lines, 2θ = 5–70°, in order of falling intensity:
2theta	Rel. int.
38.21	100.0
16.62	54.4
24.32	34.8
35.68	26.8
33.62	25.5
65.77	22.2
34.16	20.4
49.83	16.3
39.60	12.4
60.16	11.0



Record 3
For Mg6Si7Ni16, a crystal structure in the Materials Project, relaxed with GGA-PBE gives the computed X-ray diffraction stick pattern in this record (copper Kα).
Peak positions follow from Bragg's law for the DFT cell and can differ from measured ones.

Crystal structure
Cell: 7.988 7.988 7.988 Å, 60.00 60.00 60.00°
Sites, in units of the cell vectors:
Mg (0.204, 0.204, 0.796)
Mg (0.204, 0.796, 0.204)
Mg (0.204, 0.796, 0.796)
Mg (0.796, 0.204, 0.204)
Mg (0.796, 0.204, 0.796)
Mg (0.796, 0.796, 0.204)
Si (0.000, 0.000, 0.500)
Si (0.000, 0.500, 0.000)
Si (0.000, 0.500, 0.500)
Si (0.500, 0.000, 0.000)
Si (0.500, 0.000, 0.500)
Si (0.500, 0.500, 0.000)
Si (0.500, 0.500, 0.500)
Ni (0.146, 0.618, 0.618)
Ni (0.168, 0.168, 0.168)
Ni (0.168, 0.168, 0.496)
Ni (0.168, 0.496, 0.168)
Ni (0.382, 0.382, 0.382)
Ni (0.382, 0.382, 0.854)
Ni (0.382, 0.854, 0.382)
Ni (0.496, 0.168, 0.168)
Ni (0.504, 0.832, 0.832)
Ni (0.618, 0.146, 0.618)
Ni (0.618, 0.618, 0.146)
Ni (0.618, 0.618, 0.618)
Ni (0.832, 0.504, 0.832)
Ni (0.832, 0.832, 0.504)
Ni (0.832, 0.832, 0.832)
Ni (0.854, 0.382, 0.382)

Most intense lines, 2θ = 5–70°, in order of falling intensity:
2theta	Rel. int.
45.42	100.0
41.54	72.6
47.62	46.8
15.69	34.5
31.68	32.1
13.58	30.8
53.17	21.5
51.14	14.0
48.34	11.1
39.06	10.0



Record 4
For Mg14SiNi, a crystal structure in the Materials Project, relaxed with GGA-PBE gives the computed X-ray diffraction stick pattern in this record (copper Kα).
Peak positions follow from Bragg's law for the DFT cell and can differ from measured ones.

Crystal structure
Cell: 10.037 6.187 6.187 Å, 60.69 90.00 90.00°
Sites, in units of the cell vectors:
Mg (0.000, 0.000, 0.000)
Mg (0.000, 0.006, 0.504)
Mg (0.000, 0.500, 0.500)
Mg (0.000, 0.504, 0.006)
Mg (0.249, 0.671, 0.671)
Mg (0.254, 0.168, 0.168)
Mg (0.283, 0.173, 0.680)
Mg (0.283, 0.680, 0.173)
Mg (0.500, 0.477, 0.980)
Mg (0.500, 0.980, 0.477)
Mg (0.717, 0.173, 0.680)
Mg (0.717, 0.680, 0.173)
Mg (0.746, 0.168, 0.168)
Mg (0.751, 0.671, 0.671)
Si (0.500, 0.508, 0.508)
Ni (0.500, 0.012, 0.012)

Most intense lines, 2θ = 5–70°, in order of falling intensity:
2theta	Rel. int.
37.86	100.0
38.18	41.6
35.79	33.9
8.81	23.3
33.21	21.9
59.79	14.9
33.57	14.1
65.68	13.7
49.62	12.6
59.11	8.6



Record 5
For MgSi6Ni6, a crystal structure in the Materials Project, relaxed with GGA-PBE gives the computed X-ray diffraction stick pattern in this record (copper Kα).
Peak positions follow from Bragg's law for the DFT cell and can differ from measured ones.

Crystal structure
Cell: 4.909 4.909 7.613 Å, 90.00 90.00 120.19°
Sites, in units of the cell vectors:
Mg (0.000, 0.000, 0.000)
Si (0.000, 0.000, 0.346)
Si (0.000, 0.000, 0.654)
Si (0.333, 0.667, 0.000)
Si (0.333, 0.667, 0.500)
Si (0.667, 0.333, 0.000)
Si (0.667, 0.333, 0.500)
Ni (0.000, 0.500, 0.250)
Ni (0.000, 0.500, 0.750)
Ni (0.500, 0.000, 0.250)
Ni (0.500, 0.000, 0.750)
Ni (0.500, 0.500, 0.250)
Ni (0.500, 0.500, 0.750)

Most intense lines, 2θ = 5–70°, in order of falling intensity:
2theta	Rel. int.
49.17	100.0
23.37	72.4
42.62	68.9
43.92	67.6
49.05	50.1
20.92	43.3
42.49	35.0
47.79	33.2
65.91	29.4
52.70	25.6



Record 6
For Mg2SiNi3, a crystal structure in the Materials Project, relaxed with GGA-PBE gives the computed X-ray diffraction stick pattern in this record (copper Kα).
Peak positions follow from Bragg's law for the DFT cell and can differ from measured ones.

Crystal structure
Cell: 4.670 4.670 4.670 Å, 64.77 64.77 64.77°
Sites, in units of the cell vectors:
Mg (0.125, 0.125, 0.125)
Mg (0.875, 0.875, 0.875)
Si (0.500, 0.500, 0.500)
Ni (0.000, 0.500, 0.500)
Ni (0.500, 0.000, 0.500)
Ni (0.500, 0.500, 0.000)

Most intense lines, 2θ = 5–70°, in order of falling intensity:
2theta	Rel. int.
44.98	100.0
42.54	98.2
43.80	73.3
24.25	60.8
22.05	47.1
53.86	33.5
46.25	30.8
49.69	24.6
38.76	24.3
59.90	13.5



Record 7
For Mg14SiNi, a crystal structure in the Materials Project, relaxed with GGA-PBE gives the computed X-ray diffraction stick pattern in this record (copper Kα).
Peak positions follow from Bragg's law for the DFT cell and can differ from measured ones.

Crystal structure
Cell: 6.148 6.148 10.102 Å, 90.00 90.00 120.00°
Sites, in units of the cell vectors:
Mg (0.000, 0.000, 0.249)
Mg (0.000, 0.000, 0.751)
Mg (0.011, 0.505, 0.243)
Mg (0.011, 0.505, 0.757)
Mg (0.331, 0.166, 0.000)
Mg (0.334, 0.167, 0.500)
Mg (0.495, 0.505, 0.243)
Mg (0.495, 0.505, 0.757)
Mg (0.495, 0.989, 0.243)
Mg (0.495, 0.989, 0.757)
Mg (0.833, 0.167, 0.500)
Mg (0.833, 0.666, 0.500)
Mg (0.834, 0.166, 0.000)
Mg (0.834, 0.669, 0.000)
Si (0.333, 0.667, 0.500)
Ni (0.333, 0.667, 0.000)

Most intense lines, 2θ = 5–70°, in order of falling intensity:
2theta	Rel. int.
38.21	100.0
35.55	27.1
33.66	24.5
65.61	18.5
60.20	16.4
49.76	15.4
16.65	6.6
8.75	6.0
18.84	5.2
24.29	3.0



Record 8
For Mg6NiSn, a crystal structure in the Materials Project, relaxed with GGA-PBE gives the computed X-ray diffraction stick pattern in this record (copper Kα).
Peak positions follow from Bragg's law for the DFT cell and can differ from measured ones.

Crystal structure
Cell: 4.880 6.165 6.165 Å, 60.35 90.00 90.00°
Sites, in units of the cell vectors:
Mg (0.000, 0.000, 0.000)
Mg (0.000, 0.016, 0.497)
Mg (0.000, 0.497, 0.016)
Mg (0.500, 0.332, 0.841)
Mg (0.500, 0.835, 0.835)
Mg (0.500, 0.841, 0.332)
Ni (0.500, 0.334, 0.334)
Sn (0.000, 0.496, 0.496)

Most intense lines, 2θ = 5–70°, in order of falling intensity:
2theta	Rel. int.
38.33	100.0
16.56	83.6
38.49	52.0
24.71	49.4
36.84	37.8
34.41	28.3
33.45	27.8
40.64	18.6
67.35	18.3
60.03	17.3



Record 9
For Mg6NiSn, a crystal structure in the Materials Project, relaxed with GGA-PBE gives the computed X-ray diffraction stick pattern in this record (copper Kα).
Peak positions follow from Bragg's law for the DFT cell and can differ from measured ones.

Crystal structure
Cell: 4.873 6.190 6.190 Å, 60.85 90.00 90.00°
Sites, in units of the cell vectors:
Mg (0.000, 0.000, 0.000)
Mg (0.000, 0.005, 0.473)
Mg (0.000, 0.473, 0.005)
Mg (0.000, 0.490, 0.490)
Mg (0.500, 0.158, 0.661)
Mg (0.500, 0.661, 0.158)
Ni (0.500, 0.159, 0.159)
Sn (0.500, 0.658, 0.658)

Most intense lines, 2θ = 5–70°, in order of falling intensity:
2theta	Rel. int.
38.07	100.0
38.46	48.7
16.61	40.2
36.89	34.8
33.15	34.3
18.21	30.9
24.74	28.8
50.43	20.8
67.25	18.1
33.58	16.6



Record 10
For MgNi2Sn, a crystal structure in the Materials Project, relaxed with GGA-PBE gives the computed X-ray diffraction stick pattern in this record (copper Kα).
Peak positions follow from Bragg's law for the DFT cell and can differ from measured ones.

Crystal structure
Cell: 4.359 4.359 4.359 Å, 60.00 60.00 60.00°
Sites, in units of the cell vectors:
Mg (0.000, 0.000, 0.000)
Ni (0.250, 0.250, 0.250)
Ni (0.750, 0.750, 0.750)
Sn (0.500, 0.500, 0.500)

Most intense lines, 2θ = 5–70°, in order of falling intensity:
2theta	Rel. int.
41.43	100.0
25.02	29.3
60.03	16.3
49.01	15.3
66.07	6.6



Record 11
For Mg6NiSn, a crystal structure in the Materials Project, relaxed with GGA-PBE gives the computed X-ray diffraction stick pattern in this record (copper Kα).
Peak positions follow from Bragg's law for the DFT cell and can differ from measured ones.

Crystal structure
Cell: 9.954 9.954 6.905 Å, 90.00 90.00 90.00°
Sites, in units of the cell vectors:
Mg (0.000, 0.000, 0.244)
Mg (0.000, 0.000, 0.744)
Mg (0.023, 0.261, 0.000)
Mg (0.023, 0.739, 0.500)
Mg (0.154, 0.464, 0.303)
Mg (0.154, 0.536, 0.803)
Mg (0.261, 0.023, 0.000)
Mg (0.261, 0.977, 0.500)
Mg (0.274, 0.274, 0.611)
Mg (0.274, 0.726, 0.111)
Mg (0.464, 0.154, 0.303)
Mg (0.464, 0.846, 0.803)
Mg (0.500, 0.500, 0.273)
Mg (0.500, 0.500, 0.773)
Mg (0.536, 0.154, 0.803)
Mg (0.536, 0.846, 0.303)
Mg (0.726, 0.274, 0.111)
Mg (0.726, 0.726, 0.611)
Mg (0.739, 0.023, 0.500)
Mg (0.739, 0.977, 0.000)
Mg (0.846, 0.464, 0.803)
Mg (0.846, 0.536, 0.303)
Mg (0.977, 0.261, 0.500)
Mg (0.977, 0.739, 0.000)
Ni (0.191, 0.191, 0.283)
Ni (0.191, 0.809, 0.783)
Ni (0.809, 0.191, 0.783)
Ni (0.809, 0.809, 0.283)
Sn (0.329, 0.329, 0.015)
Sn (0.329, 0.671, 0.515)
Sn (0.671, 0.329, 0.515)
Sn (0.671, 0.671, 0.015)

Most intense lines, 2θ = 5–70°, in order of falling intensity:
2theta	Rel. int.
37.60	100.0
23.78	80.2
18.00	74.6
39.54	55.8
17.82	50.0
38.37	46.5
41.90	30.9
41.27	29.7
28.47	21.9
42.68	20.7



Record 12
For SrMg14Ni, a crystal structure in the Materials Project, relaxed with GGA-PBE gives the computed X-ray diffraction stick pattern in this record (copper Kα).
Peak positions follow from Bragg's law for the DFT cell and can differ from measured ones.

Crystal structure
Cell: 10.380 6.555 6.555 Å, 56.69 90.00 90.00°
Sites, in units of the cell vectors:
Sr (0.000, 0.000, 0.000)
Mg (0.000, 0.019, 0.491)
Mg (0.000, 0.491, 0.019)
Mg (0.210, 0.625, 0.625)
Mg (0.255, 0.145, 0.633)
Mg (0.255, 0.633, 0.145)
Mg (0.270, 0.147, 0.147)
Mg (0.500, 0.483, 0.483)
Mg (0.500, 0.485, 0.976)
Mg (0.500, 0.976, 0.485)
Mg (0.500, 0.977, 0.977)
Mg (0.730, 0.147, 0.147)
Mg (0.745, 0.145, 0.633)
Mg (0.745, 0.633, 0.145)
Mg (0.790, 0.625, 0.625)
Ni (0.000, 0.458, 0.458)

Most intense lines, 2θ = 5–70°, in order of falling intensity:
2theta	Rel. int.
37.12	100.0
35.61	66.9
8.52	50.9
34.57	42.4
32.70	38.5
48.32	22.8
17.59	18.3
63.62	16.3
56.23	15.3
67.71	15.2